Simulated powder X-ray diffraction pattern
Compound: NaLaTi2O6
Radiation: Cu Kα
Structure: a structure optimized by DFT (GGA-PBE)

Top 10 peaks for 10 to 90 degrees two-theta, by angle:
2theta, Rel. int.
19.75, 71
32.51, 100
32.59, 19
38.35, 40
40.06, 10
46.67, 46
57.96, 22
58.11, 26
68.14, 15
77.56, 12

```
20
Lattice="7.782 0.000 0.000 0.000 5.519 0.000 0.000 0.000 5.494" Properties=species:S:1:pos:R:3 pbc="T T T"
Na 0.000 1.230 0.000
Na 3.891 4.288 2.747
La 0.000 3.991 2.803
La 3.891 1.528 0.056
Ti 1.938 1.363 2.791
Ti 1.953 4.156 0.044
Ti 5.829 4.156 0.044
Ti 5.845 1.363 2.791
O 0.000 1.437 2.449
O 0.000 4.197 0.379
O 1.685 5.337 3.964
O 1.705 2.601 4.290
O 2.186 2.917 1.542
O 2.206 0.182 1.216
O 3.891 1.321 3.127
O 3.891 4.082 5.196
O 5.576 0.182 1.216
O 5.597 2.917 1.542
O 6.077 2.601 4.290
O 6.097 5.337 3.964
```